# SmOsC
Theoretical powder XRD pattern, a wavelength of 1.5418 Å. Input: DFT lattice parameters and positions (PBE).
Lines closer than 0.1° are merged.

Main lines, in order of rising 2θ (10° ≤ 2θ ≤ 90°):
2theta  I/Imax  (hkl)
32.8  37  0 2 1
33.3  63  1 2 0
36.8  100  1 0 2
37.2  36  1 2 1
37.4  87  2 1 0
39.6  58  1 1 2
40.9  35  2 1 1
43.6  51  0 2 2
65.2  38  3 1 2
66.6  47  2 3 2

```
12
Lattice="5.2009 0.0000 0.0000 0.0000 6.2810 0.0000 0.0000 0.0000 5.5345" Properties=species:S:1:pos:R:3 pbc="T T T"
Sm 0.5731 0.6330 1.3836
Sm 0.5731 2.5075 4.1509
Sm 4.6278 3.7735 1.3836
Sm 4.6278 5.6480 4.1509
Os 2.1340 4.7107 0.0000
Os 2.1340 4.7107 2.7673
Os 3.0669 1.5702 0.0000
Os 3.0669 1.5702 2.7673
C 1.9894 0.2483 4.1509
C 1.9894 2.8922 1.3836
C 3.2115 3.3887 4.1509
C 3.2115 6.0327 1.3836
```